# NbClF8
Simulated powder diffraction line list, Cu Kα X-rays. Input: a DFT-relaxed cell (GGA-PBE, the Materials Project).
Peak positions follow from Bragg's law for the DFT cell and can differ from measured ones.

Principal peaks in the range 2θ = 10–80°, by angle:
- (0 0 2), 2θ 16.60, d 5.341, rel. 33
- (2 0 0), 2θ 17.55, d 5.052, rel. 23
- (1 1 1), 2θ 19.34, d 4.589, rel. 78
- (0 1 2), 2θ 22.49, d 3.953, rel. 96
- (2 1 0), 2θ 23.21, d 3.832, rel. 97
- (2 0 2), 2θ 24.25, d 3.670, rel. 100
- (2 2 1), 2θ 36.34, d 2.472, rel. 32
- (3 2 1), 2θ 41.65, d 2.169, rel. 26
- (3 2 3), 2θ 48.40, d 1.881, rel. 33
- (1 2 5), 2θ 53.82, d 1.703, rel. 24

Crystal structure
```
NbClF8
1.0
10.1043 0.0000 0.0000
0.0000 5.8794 0.0000
0.0000 0.0000 10.6811
Nb Cl F
4 4 32
direct
0.0000 0.1022 0.2500 Nb
0.0000 0.8978 0.7500 Nb
0.5000 0.1022 0.7500 Nb
0.5000 0.8978 0.2500 Nb
0.2500 0.5000 0.0380 Cl
0.2500 0.5000 0.5380 Cl
0.7500 0.5000 0.4620 Cl
0.7500 0.5000 0.9620 Cl
0.1035 0.1281 0.3998 F
0.1035 0.8719 0.8998 F
0.1141 0.1217 0.6821 F
0.1141 0.8783 0.1821 F
0.1145 0.3535 0.1771 F
0.1145 0.6465 0.6771 F
0.1511 0.3883 0.9345 F
0.1511 0.6117 0.4345 F
0.3489 0.3883 0.4345 F
0.3489 0.6117 0.9345 F
0.3855 0.3535 0.6771 F
0.3855 0.6465 0.1771 F
0.3859 0.1217 0.1821 F
0.3859 0.8783 0.6821 F
0.3965 0.1281 0.8998 F
0.3965 0.8719 0.3998 F
0.6035 0.1281 0.6002 F
0.6035 0.8719 0.1002 F
0.6141 0.1217 0.3179 F
0.6141 0.8783 0.8179 F
0.6145 0.3535 0.8229 F
0.6145 0.6465 0.3229 F
0.6511 0.3883 0.0655 F
0.6511 0.6117 0.5655 F
0.8489 0.3883 0.5655 F
0.8489 0.6117 0.0655 F
0.8855 0.3535 0.3229 F
0.8855 0.6465 0.8229 F
0.8859 0.1217 0.8179 F
0.8859 0.8783 0.3179 F
0.8965 0.1281 0.1002 F
0.8965 0.8719 0.6002 F
```